Record 1
Theoretical powder diffraction line list of ZnFe4Ni12 for Cu Ka, from a structure optimized by DFT (PBE).

Crystal structure
```
ZnFe4Ni12
1.0
-3.6895 3.6895 3.6895
3.6895 -3.6895 3.6895
3.6895 3.6895 -3.6895
Zn Fe Ni
1 4 12
Direct
0.0000 0.0000 0.0000
0.0000 0.0000 0.5000
0.0000 0.5000 0.0000
0.5000 0.0000 0.0000
0.5000 0.5000 0.5000
0.0000 0.2999 0.2999
0.0000 0.7001 0.7001
0.2500 0.5000 0.7500
0.2500 0.7500 0.5000
0.2999 0.0000 0.2999
0.2999 0.2999 0.0000
0.5000 0.2500 0.7500
0.5000 0.7500 0.2500
0.7001 0.0000 0.7001
0.7001 0.7001 0.0000
0.7500 0.2500 0.5000
0.7500 0.5000 0.2500
```

Top 6 peaks for 2θ from 10° to 80°, low angle first:
two_theta  Rel. int.
42.44  1000
46.02  162
49.40  616
52.62  100
58.69  134
72.46  295

***

Record 2
Theoretical powder diffraction line list of Zn2FeNi for Cu Ka, from a structure optimized by DFT (PBE).

Crystal structure
```
Zn2FeNi
1.0
2.6643 0.0000 0.0000
0.0000 3.4713 0.0000
0.0000 0.0000 5.4814
Zn Fe Ni
2 1 1
Direct
0.0000 0.0000 0.0000
0.5000 0.5000 0.2763
0.0000 0.0000 0.5295
0.5000 0.5000 0.7524
```

Top 6 peaks for 2θ from 10° to 80°, low angle first:
two_theta  Rel. int.
42.00  1000
42.79  974
47.60  683
52.74  254
70.72  98
73.76  336

***

Record 3
Theoretical powder diffraction line list of ZnFe4Ni5 for Cu Ka, from a structure optimized by DFT (PBE).

Crystal structure
```
ZnFe4Ni5
1.0
2.5365 0.0000 0.0000
0.0000 3.5518 0.0000
0.0000 0.0000 12.7312
Zn Fe Ni
1 4 5
Direct
0.0000 0.0000 0.0000
0.0000 0.0000 0.2047
0.0000 0.0000 0.4018
0.0000 0.0000 0.5982
0.0000 0.0000 0.7953
0.5000 0.5000 0.1039
0.5000 0.5000 0.3025
0.5000 0.5000 0.5000
0.5000 0.5000 0.6975
0.5000 0.5000 0.8961
```

Top 6 peaks for 2θ from 10° to 80°, low angle first:
two_theta  Rel. int.
43.74  999
43.86  1000
50.81  625
51.46  303
74.87  90
75.22  352